No. 1
Structure and computed powder XRD pattern of K2RbCd6 (a crystal structure in Alexandria, relaxed with GGA-PBE; Cu Kα (λ = 1.5418 Å)).

Top 8 peaks for 10° ≤ 2θ ≤ 80°, by angle:
d [Å], I (rel.)
5.571, 59
3.350, 24
3.034, 100
3.026, 29
2.871, 83
2.630, 45
2.143, 37
1.818, 31

Structural model:
Cell lengths 3.4281, 11.1425, 15.7820 Å; angles 90.00, 90.00, 90.00 degrees
Space group Immm (No. 71)
Symmetry-distinct sites (fractional):
K (0.0000, 0.0000, 0.1548) x4
Rb (0.0000, 0.5000, 0.0000) x2
Cd (0.0000, 0.2049, 0.3272) x8
Cd (0.0000, 0.3127, 0.5000) x4

---

No. 2
Structure and computed powder XRD pattern of KRb3Cd (a crystal structure in Alexandria, relaxed with GGA-PBE; Cu Kα (λ = 1.5418 Å)).

Top 8 peaks for 10° ≤ 2θ ≤ 80°, by angle:
d [Å], I (rel.)
7.840, 30
3.805, 100
3.697, 65
3.076, 54
2.964, 29
2.775, 25
2.060, 25
1.836, 25

Structural model:
Cell lengths 15.6799, 15.6799, 5.5509 Å; angles 90.00, 90.00, 90.00 degrees
Space group P4_2/mnm (No. 136)
Symmetry-distinct sites (fractional):
K (0.1909, 0.1909, 0.0000) x4
Rb (0.0058, 0.3212, 0.5000) x8
Rb (0.1068, 0.8932, 0.0000) x4
Cd (0.0679, 0.0679, 0.5000) x4

---

No. 3
Structure and computed powder XRD pattern of KRb2Cd (a crystal structure in Alexandria, relaxed with GGA-PBE; Cu Kα (λ = 1.5418 Å)).

Top 8 peaks for 10° ≤ 2θ ≤ 80°, by angle:
d [Å], I (rel.)
6.413, 44
4.242, 76
3.703, 30
3.538, 100
3.394, 35
3.307, 30
2.953, 31
2.729, 29

Structural model:
Cell lengths 12.3635, 8.4819, 10.9162 Å; angles 90.00, 116.04, 90.00 degrees
Space group P2_1/c (No. 14)
Symmetry-distinct sites (fractional):
K (0.0007, 0.0000, 0.1945) x4
Rb (0.2889, 0.2176, 0.6440) x4
Rb (0.3454, 0.7489, 0.4233) x4
Cd (0.0761, 0.6448, 0.0384) x4

---

No. 4
Structure and computed powder XRD pattern of K4Rb7Cd (a crystal structure in Alexandria, relaxed with GGA-PBE; Cu Kα (λ = 1.5418 Å)).

Top 8 peaks for 10° ≤ 2θ ≤ 80°, by angle:
d [Å], I (rel.)
8.405, 17
4.043, 100
3.633, 34
3.495, 30
3.388, 30
2.519, 24
2.478, 24
2.168, 17

Structural model:
Cell lengths 15.5008, 7.2655, 17.3219 Å; angles 90.00, 103.95, 90.00 degrees
Space group C2/m (No. 12)
Symmetry-distinct sites (fractional):
K (0.0402, 0.0000, 0.3051) x4
K (0.1777, 0.5000, 0.7651) x4
Rb (0.0000, 0.5000, 0.5000) x2
Rb (0.0888, 0.5000, 0.1370) x4
Rb (0.1410, 0.0000, 0.9569) x4
Rb (0.2426, 0.0000, 0.5937) x4
Cd (0.0000, 0.0000, 0.5000) x2

---

No. 5
Structure and computed powder XRD pattern of K14RbCd (a crystal structure in Alexandria, relaxed with GGA-PBE; Cu Kα (λ = 1.5418 Å)).

Top 8 peaks for 10° ≤ 2θ ≤ 80°, by angle:
d [Å], I (rel.)
3.938, 37
3.706, 41
3.621, 67
3.478, 100
2.699, 23
2.353, 19
2.093, 19
1.903, 19

Structural model:
Cell lengths 14.8256, 8.9481, 16.6010 Å; angles 90.00, 90.00, 90.00 degrees
Space group Amm2 (No. 38)
Symmetry-distinct sites (fractional):
K (0.0000, 0.0000, 0.0000) x2
K (0.0000, 0.0000, 0.4927) x2
K (0.0000, 0.2426, 0.2458) x4
K (0.2392, 0.0000, 0.6539) x4
K (0.2570, 0.2460, 0.8999) x8
K (0.2926, 0.0000, 0.1307) x4
K (0.5000, 0.2376, 0.7639) x4
Rb (0.5000, 0.0000, 0.5106) x2
Cd (0.5000, 0.0000, 0.9664) x2

---

No. 6
Structure and computed powder XRD pattern of KRb3Cd8 (a crystal structure in Alexandria, relaxed with GGA-PBE; Cu Kα (λ = 1.5418 Å)).

Top 8 peaks for 10° ≤ 2θ ≤ 80°, by angle:
d [Å], I (rel.)
3.026, 51
2.773, 100
2.710, 96
2.697, 30
2.485, 34
1.709, 37
1.617, 30
1.387, 32

Structural model:
Cell lengths 6.4664, 6.4664, 10.7893 Å; angles 90.00, 90.00, 120.00 degrees
Space group P3m1 (No. 156)
Symmetry-distinct sites (fractional):
K (0.0000, 0.0000, 0.0000) x1
Rb (0.0000, 0.0000, 0.3797) x1
Rb (0.6667, 0.3333, 0.4981) x1
Rb (0.6667, 0.3333, 0.8830) x1
Cd (0.0025, 0.5013, 0.1872) x3
Cd (0.1662, 0.3324, 0.6930) x3
Cd (0.3333, 0.6667, 0.4438) x1
Cd (0.3333, 0.6667, 0.9397) x1

---

No. 7
Structure and computed powder XRD pattern of K3RbCd3 (a crystal structure in Alexandria, relaxed with GGA-PBE; Cu Kα (λ = 1.5418 Å)).

Top 8 peaks for 10° ≤ 2θ ≤ 80°, by angle:
d [Å], I (rel.)
3.360, 62
3.241, 55
3.176, 79
2.849, 68
2.806, 100
2.664, 42
2.569, 29
1.991, 29

Structural model:
Cell lengths 8.7451, 8.7451, 29.1456 Å; angles 90.00, 90.00, 120.00 degrees
Space group R-3m (No. 166, hexagonal axes)
Symmetry-distinct sites (fractional):
K (0.0023, 0.5012, 0.3985) x18
Rb (0.0000, 0.0000, 0.4262) x6
Cd (0.0941, 0.5471, 0.8332) x18

---

No. 8
Structure and computed powder XRD pattern of KRb4Cd (a crystal structure in Alexandria, relaxed with GGA-PBE; Cu Kα (λ = 1.5418 Å)).

Top 8 peaks for 10° ≤ 2θ ≤ 80°, by angle:
d [Å], I (rel.)
3.985, 82
3.738, 100
3.530, 75
3.508, 42
3.428, 54
3.357, 81
3.303, 67
2.819, 45

Structural model:
Cell lengths 12.5240, 17.9032, 8.1203 Å; angles 90.00, 108.49, 90.00 degrees
Space group C2/c (No. 15)
Symmetry-distinct sites (fractional):
K (0.0000, 0.1106, 0.2500) x4
Rb (0.1065, 0.3284, 0.5606) x8
Rb (0.2346, 0.0874, 0.8702) x8
Cd (0.0000, 0.4973, 0.2500) x4

---

No. 9
Structure and computed powder XRD pattern of K9Rb6Cd (a crystal structure in Alexandria, relaxed with GGA-PBE; Cu Kα (λ = 1.5418 Å)).

Top 8 peaks for 10° ≤ 2θ ≤ 80°, by angle:
d [Å], I (rel.)
3.927, 100
3.679, 73
2.991, 15
2.844, 16
2.601, 26
2.321, 28
2.168, 29
1.963, 15

Structural model:
Cell lengths 11.6331, 11.6331, 17.9482 Å; angles 90.00, 90.00, 90.00 degrees
Space group I4/m (No. 87)
Symmetry-distinct sites (fractional):
K (0.0000, 0.0000, 0.0000) x2
K (0.1104, 0.6831, 0.1655) x16
Rb (0.0000, 0.0000, 0.2962) x4
Rb (0.1147, 0.6960, 0.5000) x8
Cd (0.0000, 0.0000, 0.5000) x2

---

No. 10
Structure and computed powder XRD pattern of K6Rb4Cd (a crystal structure in Alexandria, relaxed with GGA-PBE; Cu Kα (λ = 1.5418 Å)).

Top 8 peaks for 10° ≤ 2θ ≤ 80°, by angle:
d [Å], I (rel.)
8.335, 23
3.919, 100
3.803, 15
3.639, 61
3.022, 17
2.325, 24
2.016, 20
1.876, 14

Structural model:
Cell lengths 11.5086, 11.5086, 12.0886 Å; angles 90.00, 90.00, 90.00 degrees
Space group P4/mnc (No. 128)
Symmetry-distinct sites (fractional):
K (0.0000, 0.0000, 0.1882) x4
K (0.1350, 0.3050, 0.5000) x8
Rb (0.1428, 0.6428, 0.2500) x8
Cd (0.0000, 0.0000, 0.5000) x2

---

No. 11
Structure and computed powder XRD pattern of K6Rb6Cd (a crystal structure in Alexandria, relaxed with GGA-PBE; Cu Kα (λ = 1.5418 Å)).

Top 8 peaks for 10° ≤ 2θ ≤ 80°, by angle:
d [Å], I (rel.)
4.426, 42
4.365, 78
3.852, 100
3.600, 29
3.432, 34
2.314, 39
2.183, 31
1.852, 32

Structural model:
Cell lengths 8.7309, 8.7309, 16.3754 Å; angles 90.00, 90.00, 120.00 degrees
Space group P6/mmm (No. 191)
Symmetry-distinct sites (fractional):
K (0.0000, 0.5000, 0.2432) x6
Rb (0.0000, 0.0000, 0.3591) x2
Rb (0.3333, 0.6667, 0.0000) x2
Rb (0.3333, 0.6667, 0.5000) x2
Cd (0.0000, 0.0000, 0.0000) x1

---

No. 12
Structure and computed powder XRD pattern of KRb5Cd4 (a crystal structure in Alexandria, relaxed with GGA-PBE; Cu Kα (λ = 1.5418 Å)).

Top 8 peaks for 10° ≤ 2θ ≤ 80°, by angle:
d [Å], I (rel.)
8.636, 72
6.277, 51
3.487, 100
3.339, 31
3.141, 32
2.806, 35
2.609, 38
2.224, 31

Structural model:
Cell lengths 23.3108, 5.2184, 9.9318 Å; angles 90.00, 108.22, 90.00 degrees
Space group C2/m (No. 12)
Symmetry-distinct sites (fractional):
K (0.0000, 0.0000, 0.0000) x2
Rb (0.0000, 0.0000, 0.5000) x2
Rb (0.1579, 0.5000, 0.0369) x4
Rb (0.1951, 0.5000, 0.6043) x4
Cd (0.0609, 0.5000, 0.2751) x4
Cd (0.1266, 0.0000, 0.3113) x4